Entry 1:
Computed powder diffraction line list of LaMg6Cu for Cu Ka, from a cell relaxed with GGA-PBE.

Atomic structure:
a b c (Å): 4.954 7.122 7.122
angles (deg): 49.70 90.00 90.00
Fractional positions:
La 0.000 0.000 0.000
Mg 0.000 0.493 0.988
Mg 0.000 0.988 0.493
Mg 0.500 0.131 0.624
Mg 0.500 0.160 0.160
Mg 0.500 0.596 0.596
Mg 0.500 0.624 0.131
Cu 0.000 0.424 0.424

Top 12 peaks for 10° ≤ 2θ ≤ 90°, in order of rising 2θ:
d = 6.463 Å, 2θ 13.7, intensity 68
d = 5.431 Å, 2θ 16.3, intensity 31
d = 4.954 Å, 2θ 17.9, intensity 48
d = 3.932 Å, 2θ 22.6, intensity 42
d = 3.660 Å, 2θ 24.3, intensity 30
d = 2.857 Å, 2θ 31.3, intensity 62
d = 2.716 Å, 2θ 33.0, intensity 47
d = 2.706 Å, 2θ 33.1, intensity 61
d = 2.477 Å, 2θ 36.3, intensity 46
d = 2.381 Å, 2θ 37.8, intensity 100
d = 2.373 Å, 2θ 37.9, intensity 31
d = 1.830 Å, 2θ 49.8, intensity 33


Entry 2:
Computed powder diffraction line list of Dy4Ge6Ir7 for Cu Ka, from a cell relaxed with GGA-PBE.

Atomic structure:
a b c (Å): 7.280 7.280 7.280
angles (deg): 109.47 109.47 109.47
Fractional positions:
Dy 0.000 0.000 0.500
Dy 0.000 0.500 0.000
Dy 0.500 0.000 0.000
Dy 0.500 0.500 0.500
Ge 0.000 0.317 0.317
Ge 0.000 0.683 0.683
Ge 0.317 0.000 0.317
Ge 0.317 0.317 0.000
Ge 0.683 0.000 0.683
Ge 0.683 0.683 0.000
Ir 0.000 0.000 0.000
Ir 0.250 0.500 0.750
Ir 0.250 0.750 0.500
Ir 0.500 0.250 0.750
Ir 0.500 0.750 0.250
Ir 0.750 0.250 0.500
Ir 0.750 0.500 0.250

Top 12 peaks for 10° ≤ 2θ ≤ 90°, in order of rising 2θ:
d = 3.432 Å, 2θ 26.0, intensity 25
d = 2.972 Å, 2θ 30.1, intensity 12
d = 2.427 Å, 2θ 37.0, intensity 100
d = 2.247 Å, 2θ 40.1, intensity 41
d = 2.102 Å, 2θ 43.0, intensity 70
d = 1.792 Å, 2θ 51.0, intensity 19
d = 1.486 Å, 2θ 62.5, intensity 40
d = 1.364 Å, 2θ 68.9, intensity 11
d = 1.267 Å, 2θ 74.9, intensity 30
d = 1.239 Å, 2θ 76.9, intensity 12
d = 1.213 Å, 2θ 78.9, intensity 12
d = 1.144 Å, 2θ 84.7, intensity 11


Entry 3:
Computed powder diffraction line list of Tm5Bi3 for Cu Ka, from a cell relaxed with GGA-PBE.

Atomic structure:
a b c (Å): 8.163 9.437 11.908
angles (deg): 90.00 90.00 90.00
Fractional positions:
Tm 0.027 0.250 0.011
Tm 0.144 0.750 0.283
Tm 0.188 0.250 0.281
Tm 0.194 0.066 0.561
Tm 0.194 0.434 0.561
Tm 0.306 0.566 0.061
Tm 0.306 0.934 0.061
Tm 0.312 0.750 0.781
Tm 0.356 0.250 0.783
Tm 0.473 0.750 0.511
Tm 0.527 0.250 0.489
Tm 0.644 0.750 0.217
Tm 0.688 0.250 0.219
Tm 0.694 0.066 0.939
Tm 0.694 0.434 0.939
Tm 0.806 0.566 0.439
Tm 0.806 0.934 0.439
Tm 0.812 0.750 0.719
Tm 0.856 0.250 0.717
Tm 0.973 0.750 0.989
Bi 0.067 0.003 0.826
Bi 0.067 0.497 0.826
Bi 0.092 0.750 0.542
Bi 0.408 0.250 0.042
Bi 0.433 0.503 0.326
Bi 0.433 0.997 0.326
Bi 0.567 0.003 0.674
Bi 0.567 0.497 0.674
Bi 0.592 0.750 0.958
Bi 0.908 0.250 0.458
Bi 0.933 0.503 0.174
Bi 0.933 0.997 0.174

Top 12 peaks for 10° ≤ 2θ ≤ 90°, in order of rising 2θ:
d = 2.988 Å, 2θ 29.9, intensity 60
d = 2.847 Å, 2θ 31.4, intensity 100
d = 2.797 Å, 2θ 32.0, intensity 50
d = 2.740 Å, 2θ 32.7, intensity 67
d = 2.653 Å, 2θ 33.8, intensity 23
d = 2.554 Å, 2θ 35.1, intensity 17
d = 2.518 Å, 2θ 35.7, intensity 23
d = 2.465 Å, 2θ 36.4, intensity 12
d = 2.359 Å, 2θ 38.1, intensity 37
d = 2.192 Å, 2θ 41.2, intensity 24
d = 1.530 Å, 2θ 60.5, intensity 32
d = 1.472 Å, 2θ 63.2, intensity 15


Entry 4:
Computed powder diffraction line list of ZrTiNi2 for Cu Ka, from a cell relaxed with GGA-PBE.

Atomic structure:
a b c (Å): 4.084 5.091 5.091
angles (deg): 35.62 90.00 90.00
Fractional positions:
Zr 0.000 0.000 0.000
Ti 0.500 0.718 0.718
Ni 0.000 0.270 0.270
Ni 0.500 0.435 0.435

Top 12 peaks for 10° ≤ 2θ ≤ 90°, in order of rising 2θ:
d = 4.847 Å, 2θ 18.3, intensity 15
d = 2.424 Å, 2θ 37.1, intensity 30
d = 2.399 Å, 2θ 37.5, intensity 100
d = 2.242 Å, 2θ 40.2, intensity 22
d = 2.084 Å, 2θ 43.4, intensity 34
d = 2.042 Å, 2θ 44.4, intensity 36
d = 1.966 Å, 2θ 46.2, intensity 67
d = 1.562 Å, 2θ 59.2, intensity 14
d = 1.557 Å, 2θ 59.4, intensity 14
d = 1.510 Å, 2θ 61.4, intensity 12
d = 1.265 Å, 2θ 75.1, intensity 12
d = 1.238 Å, 2θ 77.1, intensity 23